Record 1
Diffraction record for K2SrV3O9. The powder diffraction line list is calculated, not measured: it uses a crystal structure in Alexandria, relaxed with GGA+U and Cu Kα, 1.54184 Å.
No peak broadening, texture or thermal motion is included.

Most intense lines, 10° ≤ 2θ ≤ 90°, by angle:
2theta	Rel. int.
10.1	349
28.7	1000
32.5	326
33.0	140
46.9	141
55.7	139

Atomic structure:
Unit cell a=10.4346 b=5.5038 c=16.3261 alpha=90.00 beta=90.00 gamma=90.00
Space group Pnma (No. 62)
Unique sites:
K 0.0281 0.2500 0.0681 x4
K 0.0280 0.7500 0.2107 x4
Sr 0.0319 0.7500 0.6155 x4
V 0.1890 0.2500 0.5424 x4
V 0.2082 0.7500 0.4049 x4
V 0.2480 0.7500 0.7710 x4
O 0.0849 0.7500 0.7809 x4
O 0.0950 0.2500 0.6293 x4
O 0.1342 0.2500 0.9181 x4
O 0.1396 0.5096 0.4846 x8
O 0.1515 0.7500 0.0596 x4
O 0.1740 0.5024 0.3192 x8
O 0.2279 0.2500 0.1680 x4

Record 2
Diffraction record for KSr2WO5. The powder diffraction line list is calculated, not measured: it uses a crystal structure in Alexandria, relaxed with GGA+U and Cu Kα, 1.54184 Å.
No peak broadening, texture or thermal motion is included.

Most intense lines, 10° ≤ 2θ ≤ 90°, by angle:
2theta	Rel. int.
16.1	649
28.5	267
30.4	1000
42.7	264
43.4	186
51.7	228

Atomic structure:
Unit cell a=4.0796 b=6.2669 c=11.4793 alpha=90.00 beta=90.00 gamma=90.00
Space group Immm (No. 71)
Unique sites:
K 0.0000 0.0000 0.0000 x2
Sr 0.0000 0.5000 0.2215 x4
W 0.0000 0.0000 0.5000 x2
O 0.0000 0.2212 0.3726 x8
O 0.0000 0.5000 0.0000 x2